Record 1
Structure and simulated powder X-ray diffraction pattern of Er2Pb2O7 (the GGA-PBE geometry in Alexandria; Cu Kα, 1.54184 Å).
Intensities are scaled so that the largest is 100.

Peak list (10 most intense, 10° ≤ 2θ ≤ 80°, in order of falling intensity)
hkl 2 2 2, 2θ 28.86, rel. 100
hkl 4 4 0, 2θ 48.03, rel. 48
hkl 6 2 2, 2θ 57.01, rel. 46
hkl 4 0 0, 2θ 33.45, rel. 37
hkl 6 6 2, 2θ 77.69, rel. 19
hkl 4 4 4, 2θ 59.80, rel. 11
hkl 8 0 0, 2θ 70.28, rel. 7
hkl 3 1 1, 2θ 27.61, rel. 2
hkl 1 1 1, 2θ 14.32, rel. 1
hkl 7 3 1, 2θ 67.10, rel. 1

Crystal structure
Unit cell a=10.715 b=10.715 c=10.715 alpha=90.00 beta=90.00 gamma=90.00
Space group Fd-3m (No. 227, origin choice 2)
Symmetry-distinct sites (fractional):
Er1 0.000 0.000 0.000 [16 per cell]
Pb1 0.000 0.000 0.500 [16 per cell]
O1 0.101 0.375 0.875 [48 per cell]
O2 0.125 0.125 0.125 [8 per cell]

Record 2
Structure and simulated powder X-ray diffraction pattern of Er3PbO6 (the GGA-PBE geometry in Alexandria; Cu Kα, 1.54184 Å).
Intensities are scaled so that the largest is 100.

Peak list (10 most intense, 10° ≤ 2θ ≤ 80°, in order of falling intensity)
hkl 1 2 2, 2θ 32.29, rel. 100
hkl 3 -1 1, 2θ 29.09, rel. 94
hkl 2 0 2, 2θ 26.45, rel. 44
hkl 4 1 0, 2θ 49.44, rel. 41
hkl 3 -1 4, 2θ 43.00, rel. 36
hkl 2 -1 3, 2θ 30.18, rel. 36
hkl 0 0 3, 2θ 23.87, rel. 34
hkl 6 -2 2, 2θ 60.29, rel. 28
hkl 3 0 0, 2θ 31.78, rel. 27
hkl 4 -1 2, 2θ 41.80, rel. 26

Crystal structure
Unit cell a=9.7545 b=9.7545 c=11.1816 alpha=90.00 beta=90.00 gamma=120.00
Space group R-3 (No. 148, hexagonal axes)
Symmetry-distinct sites (fractional):
Er1 0.0417 0.7753 0.2076 [18 per cell]
Pb1 0.0000 0.0000 0.0000 [3 per cell]
Pb2 0.0000 0.0000 0.5000 [3 per cell]
O1 0.0280 0.7833 0.4026 [18 per cell]
O2 0.0310 0.8463 0.8713 [18 per cell]

Record 3
Structure and simulated powder X-ray diffraction pattern of PmErPbO2 (the GGA-PBE geometry in Alexandria; Cu Kα, 1.54184 Å).
Intensities are scaled so that the largest is 100.

Peak list (10 most intense, 10° ≤ 2θ ≤ 80°, in order of falling intensity)
hkl 1 0 3, 2θ 29.67, rel. 100
hkl 1 1 0, 2θ 32.62, rel. 34
hkl 2 1 3, 2θ 56.39, rel. 34
hkl 1 1 6, 2θ 50.70, rel. 25
hkl 2 0 0, 2θ 46.80, rel. 16
hkl 1 0 9, 2θ 63.19, rel. 12
hkl 0 0 6, 2θ 37.71, rel. 12
hkl 2 0 6, 2θ 61.60, rel. 12
hkl 3 0 3, 2θ 76.23, rel. 7
hkl 3 1 0, 2θ 77.79, rel. 6

Crystal structure
Unit cell a=3.883 b=3.883 c=14.312 alpha=90.00 beta=90.00 gamma=90.00
Space group I4mm (No. 107)
Symmetry-distinct sites (fractional):
Pm1 0.000 0.000 0.000 [2 per cell]
Er1 0.000 0.000 0.340 [2 per cell]
Pb1 0.000 0.000 0.671 [2 per cell]
O1 0.000 0.500 0.414 [4 per cell]

Record 4
Structure and simulated powder X-ray diffraction pattern of PrErPbO2 (the GGA-PBE geometry in Alexandria; Cu Kα, 1.54184 Å).
Intensities are scaled so that the largest is 100.

Peak list (10 most intense, 10° ≤ 2θ ≤ 80°, in order of falling intensity)
hkl 1 0 3, 2θ 29.45, rel. 100
hkl 1 1 0, 2θ 32.37, rel. 34
hkl 2 1 3, 2θ 55.94, rel. 34
hkl 1 1 6, 2θ 50.31, rel. 25
hkl 2 0 0, 2θ 46.43, rel. 16
hkl 1 0 9, 2θ 62.68, rel. 12
hkl 0 0 6, 2θ 37.44, rel. 12
hkl 2 0 6, 2θ 61.10, rel. 12
hkl 3 0 3, 2θ 75.56, rel. 7
hkl 3 1 0, 2θ 77.11, rel. 6

Crystal structure
Unit cell a=3.912 b=3.912 c=14.414 alpha=90.00 beta=90.00 gamma=90.00
Space group I4mm (No. 107)
Symmetry-distinct sites (fractional):
Pr1 0.000 0.000 0.000 [2 per cell]
Er1 0.000 0.000 0.339 [2 per cell]
Pb1 0.000 0.000 0.671 [2 per cell]
O1 0.000 0.500 0.410 [4 per cell]

Record 5
Structure and simulated powder X-ray diffraction pattern of ErPtPb2O6 (the GGA-PBE geometry in Alexandria; Cu Kα, 1.54184 Å).
Intensities are scaled so that the largest is 100.

Peak list (10 most intense, 10° ≤ 2θ ≤ 80°, in order of falling intensity)
hkl 1 1 -3, 2θ 30.60, rel. 100
hkl 0 0 4, 2θ 43.81, rel. 35
hkl 2 0 -2, 2θ 30.72, rel. 25
hkl 0 2 0, 2θ 30.45, rel. 24
hkl 1 3 -3, 2θ 54.20, rel. 17
hkl 3 1 -5, 2θ 54.57, rel. 17
hkl 2 0 2, 2θ 54.47, rel. 17
hkl 1 1 5, 2θ 72.29, rel. 12
hkl 0 2 4, 2θ 54.32, rel. 10
hkl 2 2 -6, 2θ 63.75, rel. 7

Crystal structure
Unit cell a=5.821 b=5.872 c=10.096 alpha=90.00 beta=125.10 gamma=90.00
Space group P2_1/c (No. 14)
Symmetry-distinct sites (fractional):
Er1 0.000 0.000 0.000 [2 per cell]
Pt1 0.500 0.000 0.500 [2 per cell]
Pb1 0.260 0.035 0.752 [4 per cell]
O1 0.180 0.023 0.264 [4 per cell]
O2 0.270 0.700 0.045 [4 per cell]
O3 0.347 0.222 0.042 [4 per cell]

Record 6
Structure and simulated powder X-ray diffraction pattern of ErRePbO6 (the GGA-PBE geometry in Alexandria; Cu Kα, 1.54184 Å).
Intensities are scaled so that the largest is 100.

Peak list (10 most intense, 10° ≤ 2θ ≤ 80°, in order of falling intensity)
hkl 1 0 1, 2θ 25.21, rel. 100
hkl 1 1 0, 2θ 32.17, rel. 48
hkl 2 -1 2, 2θ 47.92, rel. 43
hkl 3 -1 1, 2θ 53.30, rel. 26
hkl 2 0 1, 2θ 41.31, rel. 26
hkl 3 0 0, 2θ 57.36, rel. 13
hkl 3 0 2, 2θ 68.71, rel. 11
hkl 0 0 2, 2θ 34.54, rel. 11
hkl 3 1 1, 2θ 73.11, rel. 11
hkl 1 0 3, 2θ 56.48, rel. 11

Crystal structure
Unit cell a=5.5642 b=5.5642 c=5.1936 alpha=90.00 beta=90.00 gamma=120.00
Space group P312 (No. 149)
Symmetry-distinct sites (fractional):
Er1 0.0000 0.0000 0.0000 [1 per cell]
Re1 0.3333 0.6667 0.0000 [1 per cell]
Pb1 0.6667 0.3333 0.5000 [1 per cell]
O1 0.0612 0.3755 0.2089 [6 per cell]

Record 7
Structure and simulated powder X-ray diffraction pattern of Er2Tm4Pb3O2 (the GGA-PBE geometry in Alexandria; Cu Kα, 1.54184 Å).
Intensities are scaled so that the largest is 100.

Peak list (10 most intense, 10° ≤ 2θ ≤ 80°, in order of falling intensity)
hkl 1 1 6, 2θ 34.99, rel. 100
hkl 2 0 0, 2θ 39.11, rel. 52
hkl 1 1 2, 2θ 28.32, rel. 35
hkl 3 1 6, 2θ 68.22, rel. 30
hkl 2 2 0, 2θ 56.51, rel. 18
hkl 1 1 4, 2θ 30.97, rel. 17
hkl 2 0 10, 2θ 54.19, rel. 16
hkl 0 0 8, 2θ 28.62, rel. 14
hkl 2 0 8, 2θ 49.18, rel. 13
hkl 0 0 10, 2θ 35.99, rel. 13

Crystal structure
Unit cell a=4.606 b=4.606 c=24.956 alpha=90.00 beta=90.00 gamma=90.00
Space group I4/mmm (No. 139)
Symmetry-distinct sites (fractional):
Er1 0.000 0.000 0.192 [4 per cell]
Tm1 0.000 0.500 0.084 [8 per cell]
Pb1 0.000 0.000 0.320 [4 per cell]
Pb2 0.000 0.000 0.500 [2 per cell]
O1 0.000 0.000 0.098 [4 per cell]

Record 8
Structure and simulated powder X-ray diffraction pattern of Er3PdO6 (the GGA-PBE geometry in Alexandria; Cu Kα, 1.54184 Å).
Intensities are scaled so that the largest is 100.

Peak list (10 most intense, 10° ≤ 2θ ≤ 80°, in order of falling intensity)
hkl 2 1 1, 2θ 29.93, rel. 100
hkl 3 -2 2, 2θ 33.22, rel. 66
hkl 0 0 3, 2θ 24.53, rel. 39
hkl 1 1 3, 2θ 31.03, rel. 37
hkl 2 1 4, 2θ 44.26, rel. 30
hkl 1 4 0, 2θ 50.95, rel. 30
hkl 3 1 2, 2θ 43.03, rel. 25
hkl 0 4 5, 2θ 62.17, rel. 21
hkl 2 0 2, 2θ 27.20, rel. 19
hkl 2 -1 6, 2θ 54.12, rel. 18

Crystal structure
Unit cell a=9.4835 b=9.4835 c=10.8868 alpha=90.00 beta=90.00 gamma=120.00
Space group R-3 (No. 148, hexagonal axes)
Symmetry-distinct sites (fractional):
Er1 0.0444 0.2676 0.2051 [18 per cell]
Pd1 0.0000 0.0000 0.0000 [3 per cell]
Pd2 0.0000 0.0000 0.5000 [3 per cell]
O1 0.0279 0.2299 0.4039 [18 per cell]
O2 0.0292 0.1814 0.8809 [18 per cell]

Record 9
Structure and simulated powder X-ray diffraction pattern of ErPdO2 (the GGA-PBE geometry in Alexandria; Cu Kα, 1.54184 Å).
Intensities are scaled so that the largest is 100.

Peak list (10 most intense, 10° ≤ 2θ ≤ 80°, in order of falling intensity)
hkl 0 1 2, 2θ 31.58, rel. 100
hkl 1 0 4, 2θ 35.89, rel. 53
hkl 0 0 6, 2θ 28.98, rel. 34
hkl 0 1 8, 2θ 49.97, rel. 31
hkl 1 1 0, 2θ 53.31, rel. 26
hkl 1 1 6, 2θ 61.82, rel. 25
hkl 1 0 10, 2θ 58.81, rel. 19
hkl 0 0 3, 2θ 14.38, rel. 15
hkl 2 0 2, 2θ 63.30, rel. 13
hkl 0 2 4, 2θ 65.94, rel. 10

Crystal structure
Unit cell a=3.4368 b=3.4368 c=18.4840 alpha=90.00 beta=90.00 gamma=120.00
Space group P3_221 (No. 154)
Symmetry-distinct sites (fractional):
Er1 0.0000 0.6708 0.3333 [3 per cell]
Pd1 0.0000 0.6646 0.8333 [3 per cell]
O1 0.0041 0.6666 0.7236 [6 per cell]

Record 10
Structure and simulated powder X-ray diffraction pattern of PmErO3 (the GGA-PBE geometry in Alexandria; Cu Kα, 1.54184 Å).
Intensities are scaled so that the largest is 100.

Peak list (10 most intense, 10° ≤ 2θ ≤ 80°, in order of falling intensity)
hkl 0 4 1, 2θ 29.48, rel. 100
hkl 1 1 1, 2θ 30.24, rel. 77
hkl 1 3 2, 2θ 44.70, rel. 60
hkl 1 7 1, 2θ 54.45, rel. 57
hkl 1 3 0, 2θ 31.56, rel. 49
hkl 0 0 2, 2θ 30.82, rel. 38
hkl 2 4 1, 2θ 60.60, rel. 27
hkl 1 1 2, 2θ 40.72, rel. 25
hkl 0 4 3, 2θ 53.98, rel. 20
hkl 1 1 0, 2θ 25.95, rel. 18

Crystal structure
Unit cell a=3.539 b=14.212 c=5.802 alpha=90.00 beta=90.00 gamma=90.00
Space group Cmc2_1 (No. 36)
Symmetry-distinct sites (fractional):
Pm1 0.000 0.181 0.000 [4 per cell]
Er1 0.000 0.457 0.943 [4 per cell]
O1 0.000 0.026 0.157 [4 per cell]
O2 0.000 0.317 0.775 [4 per cell]
O3 0.000 0.378 0.278 [4 per cell]

Record 11
Structure and simulated powder X-ray diffraction pattern of PmEr2SbO8 (the GGA-PBE geometry in Alexandria; Cu Kα, 1.54184 Å).
Intensities are scaled so that the largest is 100.

Peak list (10 most intense, 10° ≤ 2θ ≤ 80°, in order of falling intensity)
hkl 0 2 1, 2θ 29.71, rel. 100
hkl 1 0 -1, 2θ 26.83, rel. 63
hkl 1 0 1, 2θ 28.77, rel. 54
hkl 1 2 0, 2θ 32.87, rel. 48
hkl 1 2 -2, 2θ 47.01, rel. 39
hkl 1 2 2, 2θ 49.44, rel. 33
hkl 2 0 0, 2θ 44.63, rel. 22
hkl 0 0 2, 2θ 34.30, rel. 21
hkl 2 2 -1, 2θ 53.41, rel. 20
hkl 2 2 1, 2θ 55.64, rel. 17

Crystal structure
Unit cell a=4.071 b=7.352 c=5.243 alpha=90.00 beta=94.05 gamma=90.00
Space group P2/m (No. 10)
Symmetry-distinct sites (fractional):
Pm1 0.000 0.000 0.000 [1 per cell]
Er1 0.500 0.254 0.500 [2 per cell]
Sb1 0.000 0.500 0.000 [1 per cell]
O1 0.047 0.286 0.754 [4 per cell]
O2 0.429 0.500 0.220 [2 per cell]
O3 0.497 0.000 0.258 [2 per cell]

Record 12
Structure and simulated powder X-ray diffraction pattern of Pm2ErUO8 (the GGA-PBE geometry in Alexandria; Cu Kα, 1.54184 Å).
Intensities are scaled so that the largest is 100.

Peak list (10 most intense, 10° ≤ 2θ ≤ 80°, in order of falling intensity)
hkl 1 1 0, 2θ 28.17, rel. 100
hkl 0 1 2, 2θ 28.61, rel. 96
hkl 1 2 2, 2θ 47.17, rel. 67
hkl 2 1 2, 2θ 55.72, rel. 46
hkl 1 0 2, 2θ 32.95, rel. 43
hkl 1 1 4, 2θ 56.46, rel. 29
hkl 0 2 0, 2θ 32.79, rel. 22
hkl 2 0 0, 2θ 46.72, rel. 18
hkl 0 0 4, 2θ 47.86, rel. 16
hkl 0 3 2, 2θ 56.00, rel. 15

Crystal structure
Unit cell a=3.888 b=5.463 c=7.603 alpha=90.00 beta=90.00 gamma=90.00
Space group Pmmm (No. 47)
Symmetry-distinct sites (fractional):
Pm1 0.000 0.000 0.249 [2 per cell]
Er1 0.500 0.500 0.000 [1 per cell]
U1 0.500 0.500 0.500 [1 per cell]
O1 0.000 0.259 0.000 [2 per cell]
O2 0.000 0.275 0.500 [2 per cell]
O3 0.500 0.266 0.272 [4 per cell]